Record 1
Structure and theoretical powder diffractogram of GaFe3 (a structure optimized by DFT (PBE); Cu Kα X-rays).
Peak positions follow from Bragg's law for the DFT cell and can differ from measured ones.

Most intense lines, 10° ≤ 2θ ≤ 80°, sorted by position:
2θ (°), I/Imax
24.3, 1
34.7, 1
42.8, 100
49.8, 47
56.2, 1
73.1, 27

Cell: 3.6605 3.6605 3.6605 Å, 90.00 90.00 90.00°
Space group Pm-3m (No. 221)
One atom of each set of equivalent atoms:
Ga (0.0000, 0.0000, 0.0000) [1 per cell]
Fe (0.0000, 0.5000, 0.5000) [3 per cell]

***

Record 2
Structure and theoretical powder diffractogram of DyInCu2 (a structure optimized by DFT (PBE); Cu Kα X-rays).
Peak positions follow from Bragg's law for the DFT cell and can differ from measured ones.

Most intense lines, 10° ≤ 2θ ≤ 80°, sorted by position:
2θ (°), I/Imax
26.9, 14
38.4, 100
47.5, 4
55.5, 17
62.7, 6
69.5, 33

Cell: 6.6263 6.6263 6.6263 Å, 90.00 90.00 90.00°
Space group Fm-3m (No. 225)
One atom of each set of equivalent atoms:
Dy (0.0000, 0.0000, 0.0000) [4 per cell]
In (0.0000, 0.0000, 0.5000) [4 per cell]
Cu (0.2500, 0.2500, 0.2500) [8 per cell]

***

Record 3
Structure and theoretical powder diffractogram of KEuHfZrO6 (a structure optimized by DFT (PBE); Cu Kα X-rays).
Peak positions follow from Bragg's law for the DFT cell and can differ from measured ones.

Most intense lines, 10° ≤ 2θ ≤ 80°, sorted by position:
2θ (°), I/Imax
18.5, 22
30.4, 100
43.5, 31
54.0, 40
63.2, 19
71.8, 17

Cell: 8.3178 8.3178 8.3178 Å, 90.00 90.00 90.00°
Space group F-43m (No. 216)
One atom of each set of equivalent atoms:
K (0.0000, 0.0000, 0.0000) [4 per cell]
Eu (0.0000, 0.0000, 0.5000) [4 per cell]
Hf (0.2500, 0.2500, 0.2500) [4 per cell]
Zr (0.2500, 0.2500, 0.7500) [4 per cell]
O (0.0017, 0.2500, 0.2500) [24 per cell]

***

Record 4
Structure and theoretical powder diffractogram of Sr2Sb (a structure optimized by DFT (PBE); Cu Kα X-rays).
Peak positions follow from Bragg's law for the DFT cell and can differ from measured ones.

Most intense lines, 10° ≤ 2θ ≤ 80°, sorted by position:
2θ (°), I/Imax
26.8, 77
30.6, 33
32.0, 100
35.4, 66
47.1, 30
61.5, 30

Cell: 5.0672 5.0672 17.8517 Å, 90.00 90.00 90.00°
Space group I4/mmm (No. 139)
One atom of each set of equivalent atoms:
Sr (0.0000, 0.0000, 0.1780) [4 per cell]
Sr (0.0000, 0.5000, 0.0000) [4 per cell]
Sb (0.0000, 0.0000, 0.3651) [4 per cell]

***

Record 5
Structure and theoretical powder diffractogram of Na2Al2Si3H4O12 (a structure optimized by DFT (PBE); Cu Kα X-rays).
Peak positions follow from Bragg's law for the DFT cell and can differ from measured ones.

Most intense lines, 10° ≤ 2θ ≤ 80°, sorted by position:
2θ (°), I/Imax
12.8, 70
14.6, 100
19.2, 40
19.8, 65
29.4, 40
30.2, 30

Cell: 18.8679 20.1852 6.7619 Å, 90.00 90.00 90.00°
Space group Fdd2 (No. 43)
One atom of each set of equivalent atoms:
Na (0.0311, 0.3042, 0.0000) [16 per cell]
Al (0.0978, 0.4656, 0.0547) [16 per cell]
Si (0.0000, 0.0000, 0.1849) [8 per cell]
Si (0.0349, 0.0829, 0.8090) [16 per cell]
H (0.0658, 0.1424, 0.2936) [16 per cell]
H (0.0871, 0.1641, 0.3629) [16 per cell]
O (0.0208, 0.0619, 0.0365) [16 per cell]
O (0.0345, 0.4086, 0.1706) [16 per cell]
O (0.0537, 0.2194, 0.7409) [16 per cell]
O (0.0665, 0.4761, 0.8149) [16 per cell]
O (0.0721, 0.1589, 0.8644) [16 per cell]
O (0.0964, 0.0376, 0.7079) [16 per cell]